# 1
For Y7Er2Th2, a cell relaxed with GGA-PBE gives the computed powder XRD pattern in this record (Cu Kα).
Peak positions follow from Bragg's law for the DFT cell and can differ from measured ones.

Crystal structure
```
data_Y7Er2Th2
_chemical_formula_sum 'Y7 Er2 Th2'
_symmetry_space_group_name_H-M 'P m m m'
_symmetry_Int_Tables_number 47
_symmetry_space_group_name_Hall '-P 2 2'
_cell_length_a 5.593
_cell_length_b 6.919
_cell_length_c 9.455
_cell_angle_alpha 90.00
_cell_angle_beta 90.00
_cell_angle_gamma 90.00
loop_
_atom_site_label
_atom_site_fract_x
_atom_site_fract_y
_atom_site_fract_z
Y1 0.000 0.000 0.000
Y2 0.000 0.500 0.170
Y3 0.500 0.000 0.309
Y4 0.500 0.500 0.340
Er1 0.000 0.254 0.500
Th1 0.500 0.275 0.000
```

Main lines, most intense first (10 to 90 degrees two-theta):
- 2θ 31.9, I = 100, hkl 1 2 1
- 2θ 32.0, I = 80, hkl 2 0 0
- 2θ 32.6, I = 57, hkl 1 0 3
- 2θ 45.9, I = 29, hkl 2 2 2
- 2θ 18.4, I = 28, hkl 1 0 1
- 2θ 18.8, I = 23, hkl 0 0 2
- 2θ 58.0, I = 21, hkl 1 2 5
- 2θ 56.9, I = 19, hkl 3 2 1
- 2θ 63.6, I = 14, hkl 1 4 3
- 2θ 57.4, I = 11, hkl 3 0 3


# 2
For Y8Er4Th3, a cell relaxed with GGA-PBE gives the computed powder XRD pattern in this record (Cu Kα).
Peak positions follow from Bragg's law for the DFT cell and can differ from measured ones.

Crystal structure
```
data_Y8Er4Th3
_chemical_formula_sum 'Y16 Er8 Th6'
_symmetry_space_group_name_H-M 'C 1 2/m 1'
_symmetry_Int_Tables_number 12
_symmetry_space_group_name_Hall '-C 2y'
_cell_length_a 13.451
_cell_length_b 12.763
_cell_length_c 6.657
_cell_angle_alpha 90.00
_cell_angle_beta 118.90
_cell_angle_gamma 90.00
loop_
_atom_site_label
_atom_site_fract_x
_atom_site_fract_y
_atom_site_fract_z
Y1 0.000 0.147 0.000
Y2 0.000 0.253 0.500
Y3 0.227 0.000 0.041
Y4 0.246 0.500 0.449
Er1 0.000 0.500 0.000
Er2 0.000 0.500 0.500
Er3 0.250 0.250 0.500
Th1 0.000 0.000 0.500
Th2 0.250 0.250 0.000
```

Main lines, most intense first (10 to 90 degrees two-theta):
- 2θ 30.3, I = 100, hkl 4 0 0
- 2θ 30.7, I = 71, hkl 0 0 2
- 2θ 31.0, I = 68, hkl 4 0 -2
- 2θ 28.0, I = 67, hkl 0 4 0
- 2θ 20.5, I = 50, hkl 2 2 0
- 2θ 41.7, I = 44, hkl 4 4 0
- 2θ 42.0, I = 42, hkl 0 4 2
- 2θ 42.3, I = 39, hkl 4 4 -2
- 2θ 31.9, I = 16, hkl 2 4 0
- 2θ 53.9, I = 15, hkl 4 0 2


# 3
For Y4Er3Th5, a cell relaxed with GGA-PBE gives the computed powder XRD pattern in this record (Cu Kα).
Peak positions follow from Bragg's law for the DFT cell and can differ from measured ones.

Crystal structure
```
data_Y4Er3Th5
_chemical_formula_sum 'Y8 Er6 Th10'
_symmetry_space_group_name_H-M 'C 1 2/m 1'
_symmetry_Int_Tables_number 12
_symmetry_space_group_name_Hall '-C 2y'
_cell_length_a 15.932
_cell_length_b 5.964
_cell_length_c 9.325
_cell_angle_alpha 90.00
_cell_angle_beta 116.60
_cell_angle_gamma 90.00
loop_
_atom_site_label
_atom_site_fract_x
_atom_site_fract_y
_atom_site_fract_z
Y1 0.208 0.000 0.370
Y2 0.210 0.000 0.730
Er1 0.000 0.000 0.500
Er2 0.071 0.500 0.193
Th1 0.000 0.500 0.500
Th2 0.083 0.000 0.940
Th3 0.171 0.500 0.884
```

Main lines, most intense first (10 to 90 degrees two-theta):
- 2θ 32.7, I = 100, hkl 5 1 -2
- 2θ 30.0, I = 96, hkl 0 2 0
- 2θ 32.0, I = 56, hkl 5 1 -1
- 2θ 33.5, I = 46, hkl 1 1 -3
- 2θ 29.6, I = 43, hkl 3 1 1
- 2θ 31.4, I = 36, hkl 4 0 1
- 2θ 28.8, I = 36, hkl 2 0 -3
- 2θ 29.3, I = 30, hkl 2 0 2
- 2θ 44.0, I = 29, hkl 4 2 1
- 2θ 24.5, I = 29, hkl 4 0 -2


# 4
For Y3Er8Th, a cell relaxed with GGA-PBE gives the computed powder XRD pattern in this record (Cu Kα).
Peak positions follow from Bragg's law for the DFT cell and can differ from measured ones.

Crystal structure
```
data_Y3Er8Th
_chemical_formula_sum 'Y6 Er16 Th2'
_symmetry_space_group_name_H-M 'I 4/m m m'
_symmetry_Int_Tables_number 139
_symmetry_space_group_name_Hall '-I 4 2'
_cell_length_a 7.671
_cell_length_b 7.671
_cell_length_c 15.375
_cell_angle_alpha 90.00
_cell_angle_beta 90.00
_cell_angle_gamma 90.00
loop_
_atom_site_label
_atom_site_fract_x
_atom_site_fract_y
_atom_site_fract_z
Y1 0.000 0.000 0.000
Y2 0.000 0.500 0.250
Er1 0.249 0.249 0.376
Th1 0.000 0.000 0.500
```

Main lines, most intense first (10 to 90 degrees two-theta):
- 2θ 33.0, I = 100, hkl 2 2 0
- 2θ 58.9, I = 38, hkl 4 2 4
- 2θ 23.2, I = 25, hkl 2 0 0
- 2θ 20.0, I = 17, hkl 1 1 2
- 2θ 47.4, I = 12, hkl 4 0 0
- 2θ 69.2, I = 12, hkl 4 4 0
- 2θ 78.9, I = 11, hkl 6 2 0
- 2θ 53.4, I = 11, hkl 4 2 0
- 2θ 38.9, I = 9, hkl 3 1 2
- 2θ 40.7, I = 8, hkl 2 2 4


# 5
For YErTh4, a cell relaxed with GGA-PBE gives the computed powder XRD pattern in this record (Cu Kα).
Peak positions follow from Bragg's law for the DFT cell and can differ from measured ones.

Crystal structure
```
data_YErTh4
_chemical_formula_sum 'Y1 Er1 Th4'
_symmetry_space_group_name_H-M 'P m m m'
_symmetry_Int_Tables_number 47
_symmetry_space_group_name_Hall '-P 2 2'
_cell_length_a 3.489
_cell_length_b 5.707
_cell_length_c 9.871
_cell_angle_alpha 90.00
_cell_angle_beta 90.00
_cell_angle_gamma 90.00
loop_
_atom_site_label
_atom_site_fract_x
_atom_site_fract_y
_atom_site_fract_z
Y1 0.000 0.000 0.000
Er1 0.000 0.500 0.500
Th1 0.500 0.000 0.334
Th2 0.500 0.500 0.168
```

Main lines, most intense first (10 to 90 degrees two-theta):
- 2θ 31.4, I = 100, hkl 0 2 0
- 2θ 55.9, I = 29, hkl 0 3 3
- 2θ 62.4, I = 22, hkl 2 2 0
- 2θ 40.9, I = 17, hkl 1 2 0
- 2θ 45.0, I = 16, hkl 1 2 2
- 2θ 25.5, I = 10, hkl 1 0 0
- 2θ 80.2, I = 8, hkl 2 3 3
- 2θ 74.4, I = 8, hkl 1 3 5
- 2θ 65.5, I = 7, hkl 0 4 0
- 2θ 88.6, I = 7, hkl 2 4 0


# 6
For YErTh3, a cell relaxed with GGA-PBE gives the computed powder XRD pattern in this record (Cu Kα).
Peak positions follow from Bragg's law for the DFT cell and can differ from measured ones.

Crystal structure
```
data_YErTh3
_chemical_formula_sum 'Y2 Er2 Th6'
_symmetry_space_group_name_H-M 'C 1 2 1'
_symmetry_Int_Tables_number 5
_symmetry_space_group_name_Hall 'C 2y'
_cell_length_a 6.922
_cell_length_b 16.557
_cell_length_c 3.525
_cell_angle_alpha 90.00
_cell_angle_beta 119.85
_cell_angle_gamma 90.00
loop_
_atom_site_label
_atom_site_fract_x
_atom_site_fract_y
_atom_site_fract_z
Y1 0.000 0.000 0.000
Er1 0.000 0.620 0.500
Th1 0.000 0.173 0.500
Th2 0.243 0.830 0.943
```

Main lines, most intense first (10 to 90 degrees two-theta):
- 2θ 31.7, I = 100, hkl 2 2 0
- 2θ 31.2, I = 90, hkl 0 2 1
- 2θ 10.7, I = 73, hkl 0 2 0
- 2θ 29.6, I = 56, hkl 2 0 -1
- 2θ 32.4, I = 45, hkl 0 6 0
- 2θ 36.5, I = 42, hkl 0 4 1
- 2θ 37.0, I = 41, hkl 2 4 0
- 2θ 21.5, I = 37, hkl 0 4 0
- 2θ 36.8, I = 36, hkl 2 4 -1
- 2θ 31.5, I = 35, hkl 2 2 -1


# 7
For Y2Er12Th, a cell relaxed with GGA-PBE gives the computed powder XRD pattern in this record (Cu Kα).
Peak positions follow from Bragg's law for the DFT cell and can differ from measured ones.

Crystal structure
```
data_Y2Er12Th
_chemical_formula_sum 'Y2 Er12 Th1'
_symmetry_space_group_name_H-M 'P -1'
_symmetry_Int_Tables_number 2
_symmetry_space_group_name_Hall '-P 1'
_cell_length_a 3.487
_cell_length_b 5.486
_cell_length_c 24.533
_cell_angle_alpha 96.28
_cell_angle_beta 93.95
_cell_angle_gamma 90.01
loop_
_atom_site_label
_atom_site_fract_x
_atom_site_fract_y
_atom_site_fract_z
Y1 0.136 0.135 0.274
Er1 0.033 0.531 0.066
Er2 0.064 0.064 0.133
Er3 0.226 0.727 0.459
Er4 0.302 0.801 0.598
Er5 0.335 0.336 0.668
Er6 0.407 0.407 0.808
Th1 0.500 0.000 0.000
```

Main lines, most intense first (10 to 90 degrees two-theta):
- 2θ 32.1, I = 100, hkl 0 1 -8
- 2θ 32.7, I = 91, hkl 0 2 -1
- 2θ 31.3, I = 85, hkl 1 1 -3
- 2θ 46.9, I = 23, hkl 1 2 4
- 2θ 57.4, I = 16, hkl 1 3 -4
- 2θ 63.2, I = 15, hkl 2 -2 0
- 2θ 62.9, I = 15, hkl 2 1 -9
- 2θ 62.8, I = 15, hkl 2 -1 7
- 2θ 43.9, I = 14, hkl 1 0 -10
- 2θ 52.5, I = 13, hkl 2 0 -1


# 8
For Y5Er4Th2, a cell relaxed with GGA-PBE gives the computed powder XRD pattern in this record (Cu Kα).
Peak positions follow from Bragg's law for the DFT cell and can differ from measured ones.

Crystal structure
```
data_Y5Er4Th2
_chemical_formula_sum 'Y5 Er4 Th2'
_symmetry_space_group_name_H-M 'P -1'
_symmetry_Int_Tables_number 2
_symmetry_space_group_name_Hall '-P 1'
_cell_length_a 3.532
_cell_length_b 8.832
_cell_length_c 11.233
_cell_angle_alpha 89.13
_cell_angle_beta 89.71
_cell_angle_gamma 89.70
loop_
_atom_site_label
_atom_site_fract_x
_atom_site_fract_y
_atom_site_fract_z
Y1 0.000 0.000 0.000
Y2 0.244 0.182 0.479
Y3 0.270 0.358 0.911
Er1 0.256 0.733 0.796
Er2 0.283 0.916 0.263
Th1 0.249 0.543 0.362
```

Main lines, most intense first (10 to 90 degrees two-theta):
- 2θ 31.6, I = 100, hkl 0 2 -3
- 2θ 31.3, I = 62, hkl 0 3 1
- 2θ 33.3, I = 49, hkl 0 1 4
- 2θ 33.5, I = 40, hkl 1 2 -1
- 2θ 29.8, I = 32, hkl 1 0 2
- 2θ 31.4, I = 25, hkl 1 1 2
- 2θ 33.6, I = 23, hkl 1 -2 1
- 2θ 54.7, I = 21, hkl 0 5 -2
- 2θ 61.9, I = 18, hkl -2 3 1
- 2θ 49.4, I = 15, hkl 1 1 -5


# 9
For YEr5Th, a cell relaxed with GGA-PBE gives the computed powder XRD pattern in this record (Cu Kα).
Peak positions follow from Bragg's law for the DFT cell and can differ from measured ones.

Crystal structure
```
data_YEr5Th
_chemical_formula_sum 'Y4 Er20 Th4'
_symmetry_space_group_name_H-M 'C 1 2/c 1'
_symmetry_Int_Tables_number 15
_symmetry_space_group_name_Hall '-C 2yc'
_cell_length_a 11.095
_cell_length_b 6.415
_cell_length_c 12.685
_cell_angle_alpha 90.00
_cell_angle_beta 95.05
_cell_angle_gamma 90.00
loop_
_atom_site_label
_atom_site_fract_x
_atom_site_fract_y
_atom_site_fract_z
Y1 0.000 0.239 0.250
Er1 0.000 0.247 0.750
Er2 0.163 0.004 0.559
Er3 0.237 0.496 0.178
Th1 0.000 0.500 0.000
```

Main lines, most intense first (10 to 90 degrees two-theta):
- 2θ 32.3, I = 100, hkl 3 1 2
- 2θ 31.3, I = 70, hkl 2 0 -4
- 2θ 33.3, I = 65, hkl 1 1 4
- 2θ 34.7, I = 61, hkl 2 2 -2
- 2θ 27.9, I = 35, hkl 3 1 0
- 2θ 27.8, I = 32, hkl 0 2 0
- 2θ 38.5, I = 22, hkl 3 1 -4
- 2θ 58.5, I = 21, hkl 6 2 -2
- 2θ 32.4, I = 20, hkl 4 0 0
- 2θ 64.9, I = 20, hkl 4 2 6


# 10
For YEr2Th2, a cell relaxed with GGA-PBE gives the computed powder XRD pattern in this record (Cu Kα).
Peak positions follow from Bragg's law for the DFT cell and can differ from measured ones.

Crystal structure
```
data_YEr2Th2
_chemical_formula_sum 'Y4 Er8 Th8'
_symmetry_space_group_name_H-M 'P 1 21/c 1'
_symmetry_Int_Tables_number 14
_symmetry_space_group_name_Hall '-P 2ybc'
_cell_length_a 14.561
_cell_length_b 7.101
_cell_length_c 6.179
_cell_angle_alpha 90.00
_cell_angle_beta 98.23
_cell_angle_gamma 90.00
loop_
_atom_site_label
_atom_site_fract_x
_atom_site_fract_y
_atom_site_fract_z
Y1 0.198 0.126 0.149
Er1 0.197 0.623 0.148
Er2 0.402 0.625 0.549
Th1 0.001 0.625 0.749
Th2 0.402 0.128 0.551
```

Main lines, most intense first (10 to 90 degrees two-theta):
- 2θ 30.8, I = 100, hkl 1 0 2
- 2θ 35.8, I = 45, hkl 3 2 1
- 2θ 31.0, I = 33, hkl 5 0 0
- 2θ 51.6, I = 24, hkl 6 0 2
- 2θ 35.7, I = 23, hkl 4 0 -2
- 2θ 61.2, I = 19, hkl 1 4 2
- 2θ 51.3, I = 16, hkl 1 2 -3
- 2θ 61.4, I = 14, hkl 5 4 0
- 2θ 61.1, I = 10, hkl 6 2 -3
- 2θ 61.5, I = 9, hkl 8 2 1


# 11
For YEr2Th5, a cell relaxed with GGA-PBE gives the computed powder XRD pattern in this record (Cu Kα).
Peak positions follow from Bragg's law for the DFT cell and can differ from measured ones.

Crystal structure
```
data_YEr2Th5
_chemical_formula_sum 'Y2 Er4 Th10'
_symmetry_space_group_name_H-M 'P b a m'
_symmetry_Int_Tables_number 55
_symmetry_space_group_name_Hall '-P 2 2ab'
_cell_length_a 7.131
_cell_length_b 14.290
_cell_length_c 5.023
_cell_angle_alpha 90.00
_cell_angle_beta 90.00
_cell_angle_gamma 90.00
loop_
_atom_site_label
_atom_site_fract_x
_atom_site_fract_y
_atom_site_fract_z
Y1 0.000 0.000 0.000
Er1 0.250 0.126 0.500
Th1 0.000 0.500 0.000
Th2 0.001 0.749 0.000
Th3 0.245 0.373 0.500
```

Main lines, most intense first (10 to 90 degrees two-theta):
- 2θ 30.7, I = 100, hkl 2 0 1
- 2θ 35.6, I = 34, hkl 2 4 0
- 2θ 51.3, I = 31, hkl 2 4 2
- 2θ 60.9, I = 29, hkl 4 4 1
- 2θ 35.8, I = 17, hkl 0 0 2
- 2θ 61.1, I = 15, hkl 2 0 3
- 2θ 64.0, I = 13, hkl 4 0 2
- 2θ 83.7, I = 9, hkl 2 8 3
- 2θ 86.3, I = 9, hkl 4 8 2
- 2θ 51.1, I = 6, hkl 0 8 0


# 12
For Y2Er7Th, a cell relaxed with GGA-PBE gives the computed powder XRD pattern in this record (Cu Kα).
Peak positions follow from Bragg's law for the DFT cell and can differ from measured ones.

Crystal structure
```
data_Y2Er7Th
_chemical_formula_sum 'Y4 Er14 Th2'
_symmetry_space_group_name_H-M 'C m m m'
_symmetry_Int_Tables_number 65
_symmetry_space_group_name_Hall '-C 2 2'
_cell_length_a 8.471
_cell_length_b 17.820
_cell_length_c 5.026
_cell_angle_alpha 90.00
_cell_angle_beta 90.00
_cell_angle_gamma 90.00
loop_
_atom_site_label
_atom_site_fract_x
_atom_site_fract_y
_atom_site_fract_z
Y1 0.000 0.203 0.000
Er1 0.000 0.000 0.000
Er2 0.000 0.310 0.500
Er3 0.181 0.397 0.000
Th1 0.000 0.500 0.500
```

Main lines, most intense first (10 to 90 degrees two-theta):
- 2θ 32.6, I = 100, hkl 1 5 1
- 2θ 36.9, I = 61, hkl 3 1 1
- 2θ 11.6, I = 50, hkl 1 1 0
- 2θ 35.7, I = 35, hkl 0 0 2
- 2θ 29.1, I = 35, hkl 2 4 0
- 2θ 21.2, I = 25, hkl 1 1 1
- 2θ 37.0, I = 24, hkl 2 6 0
- 2θ 27.5, I = 23, hkl 2 0 1
- 2θ 63.6, I = 22, hkl 5 5 1
- 2θ 26.7, I = 20, hkl 0 4 1